This entry pairs a crystal structure of CsOs2O9 with its calculated powder X-ray diffraction pattern. Radiation: λ = 1.5418 Å (Cu Kα). Structure: the PBE geometry in the Materials Project.
Neutral-atom scattering factors, no anomalous dispersion.

Crystal structure
Unit cell a=7.972 b=7.972 c=11.011 alpha=107.34 beta=107.34 gamma=44.29
Sites, in units of the cell vectors:
Cs (0.004, 0.996, 0.500)
Cs (0.996, 0.004, 0.000)
Os (0.318, 0.382, 0.729)
Os (0.382, 0.318, 0.229)
Os (0.606, 0.732, 0.354)
Os (0.732, 0.606, 0.854)
O (0.193, 0.659, 0.701)
O (0.197, 0.619, 0.209)
O (0.232, 0.247, 0.610)
O (0.247, 0.232, 0.110)
O (0.297, 0.961, 0.306)
O (0.352, 0.358, 0.888)
O (0.358, 0.352, 0.388)
O (0.505, 0.777, 0.733)
O (0.582, 0.596, 0.937)
O (0.596, 0.582, 0.437)
O (0.619, 0.197, 0.709)
O (0.632, 0.928, 0.268)
O (0.659, 0.193, 0.201)
O (0.747, 0.808, 0.477)
O (0.777, 0.505, 0.233)
O (0.808, 0.747, 0.977)
O (0.928, 0.632, 0.768)
O (0.961, 0.297, 0.806)

Peak list (10 most intense, 15 to 90 degrees two-theta, in order of rising 2θ)
2θ (°)	Rel. int.
17.01	15
21.91	100
24.16	80
24.36	36
25.72	35
29.73	21
32.58	15
39.70	20
41.84	16
49.51	15

***

This entry pairs a crystal structure of MgV2S4N6Cl4 with its calculated powder X-ray diffraction pattern. Radiation: λ = 1.5418 Å (Cu Kα). Structure: the PBE geometry in the Materials Project.
Neutral-atom scattering factors, no anomalous dispersion.

Crystal structure
Unit cell a=6.060 b=7.657 c=7.782 alpha=92.38 beta=99.79 gamma=102.07
Sites, in units of the cell vectors:
Mg (0.000, 0.000, 0.000)
V (0.309, 0.741, 0.633)
V (0.827, 0.491, 0.667)
S (0.245, 0.447, 0.953)
S (0.357, 0.011, 0.347)
S (0.780, 0.267, 0.988)
S (0.899, 0.777, 0.341)
N (0.016, 0.701, 0.511)
N (0.068, 0.299, 0.034)
N (0.083, 0.925, 0.259)
N (0.134, 0.536, 0.790)
N (0.432, 0.909, 0.507)
N (0.708, 0.345, 0.808)
Cl (0.290, 0.981, 0.845)
Cl (0.455, 0.518, 0.483)
Cl (0.712, 0.747, 0.851)
Cl (0.862, 0.277, 0.464)

Peak list (10 most intense, 15 to 90 degrees two-theta, in order of rising 2θ)
2θ (°)	Rel. int.
17.25	100
19.65	53
25.34	79
27.58	52
30.52	35
30.71	40
34.06	65
34.91	52
36.18	38
43.31	50